Structure and simulated powder XRD pattern of Pr2ThS3 (a DFT-relaxed cell (PBE, Alexandria); Cu Kα, 1.54184 Å).
Intensities are scaled so that the largest is 100.

Structure:
Cell: 7.068 12.204 7.092 Å, 90.00 109.35 90.00°
Space group C2/m (No. 12)
Asymmetric unit:
Pr: 0.000 0.000 0.000 (multiplicity 2)
Pr: 0.000 0.163 0.500 (multiplicity 4)
Pr: 0.000 0.500 0.500 (multiplicity 2)
Th: 0.000 0.333 0.000 (multiplicity 4)
S: 0.244 0.500 0.244 (multiplicity 4)
S: 0.248 0.331 0.752 (multiplicity 8)

Main lines, low angle first (2θ from 10° to 90°):
- 26.64 deg, I 22, hkl 0 0 2
- 26.78 deg, I 64, hkl 2 0 0
- 30.98 deg, I 100, hkl 1 3 1
- 44.30 deg, I 37, hkl 2 0 2
- 44.44 deg, I 24, hkl 3 3 -1
- 44.54 deg, I 12, hkl 0 6 0
- 52.58 deg, I 18, hkl 3 3 1
- 52.69 deg, I 14, hkl 2 6 0
- 55.24 deg, I 13, hkl 2 6 -2
- 64.58 deg, I 12, hkl 4 0 -4



Structure and simulated powder XRD pattern of Li3In3Sn2 (a DFT-relaxed cell (PBE, Alexandria); Cu Kα, 1.54184 Å).
Intensities are scaled so that the largest is 100.

Structure:
Cell: 8.1038 8.1038 9.7300 Å, 90.00 90.00 120.00°
Space group R32 (No. 155, hexagonal axes)
Asymmetric unit:
Li: 0.0000 0.2543 0.0000 (multiplicity 9)
In: 0.0000 0.7494 0.5000 (multiplicity 9)
Sn: 0.0000 0.0000 0.2420 (multiplicity 6)

Main lines, low angle first (2θ from 10° to 90°):
- 15.57 deg, I 26, hkl 1 0 1
- 21.94 deg, I 76, hkl 1 1 0
- 27.50 deg, I 31, hkl 0 0 3
- 31.43 deg, I 64, hkl 2 0 2
- 35.06 deg, I 53, hkl 2 1 1
- 35.45 deg, I 46, hkl 1 1 3
- 38.48 deg, I 38, hkl 3 0 0
- 38.66 deg, I 100, hkl 1 2 2
- 39.20 deg, I 34, hkl 1 0 4
- 60.58 deg, I 27, hkl 2 3 2



Structure and simulated powder XRD pattern of Na2Cd2Br7 (a DFT-relaxed cell (PBE, Alexandria); Cu Kα, 1.54184 Å).
Intensities are scaled so that the largest is 100.

Structure:
Cell: 9.106 12.719 6.929 Å, 90.00 93.41 90.00°
Space group C2/m (No. 12)
Asymmetric unit:
Na: 0.000 0.199 0.000 (multiplicity 4)
Cd: 0.207 0.000 0.618 (multiplicity 4)
Br: 0.000 0.500 0.500 (multiplicity 2)
Br: 0.085 0.000 0.253 (multiplicity 4)
Br: 0.234 0.313 0.230 (multiplicity 8)

Main lines, low angle first (2θ from 10° to 90°):
- 17.98 deg, I 63, hkl 1 1 1
- 18.96 deg, I 100, hkl 0 2 1
- 19.53 deg, I 42, hkl 2 0 0
- 28.06 deg, I 43, hkl 0 4 0
- 29.03 deg, I 48, hkl 1 1 2
- 32.32 deg, I 96, hkl 3 1 -1
- 35.35 deg, I 67, hkl 1 3 2
- 36.43 deg, I 55, hkl 3 3 0
- 45.35 deg, I 46, hkl 2 2 -3
- 48.03 deg, I 54, hkl 3 5 -1



Structure and simulated powder XRD pattern of K6Hg12Pd (a DFT-relaxed cell (PBE, Alexandria); Cu Kα, 1.54184 Å).
Intensities are scaled so that the largest is 100.

Structure:
Cell: 13.7473 13.7473 11.8937 Å, 90.00 90.00 120.00°
Space group R-3 (No. 148, hexagonal axes)
Asymmetric unit:
K: 0.0269 0.1907 0.2505 (multiplicity 18)
Hg: 0.0189 0.2157 0.9477 (multiplicity 18)
Hg: 0.0422 0.2282 0.5484 (multiplicity 18)
Pd: 0.0000 0.0000 0.5000 (multiplicity 3)

Main lines, low angle first (2θ from 10° to 90°):
- 16.66 deg, I 57, hkl 0 1 2
- 21.11 deg, I 19, hkl 2 0 2
- 24.81 deg, I 16, hkl 3 -2 2
- 25.94 deg, I 51, hkl 2 -1 3
- 33.67 deg, I 17, hkl 0 4 2
- 34.53 deg, I 100, hkl 1 4 0
- 40.82 deg, I 21, hkl 5 0 2
- 43.00 deg, I 34, hkl 3 -2 5
- 45.74 deg, I 19, hkl 3 3 3
- 56.27 deg, I 14, hkl 4 2 5



Structure and simulated powder XRD pattern of YTh2Sc6 (a DFT-relaxed cell (PBE, Alexandria); Cu Kα, 1.54184 Å).
Intensities are scaled so that the largest is 100.

Structure:
Cell: 10.062 10.062 10.062 Å, 90.00 90.00 90.00°
Space group Fm-3m (No. 225)
Asymmetric unit:
Y: 0.000 0.000 0.000 (multiplicity 4)
Th: 0.250 0.250 0.250 (multiplicity 8)
Sc: 0.000 0.000 0.285 (multiplicity 24)

Main lines, low angle first (2θ from 10° to 90°):
- 17.63 deg, I 32, hkl 2 0 0
- 25.03 deg, I 100, hkl 2 2 0
- 30.78 deg, I 67, hkl 2 2 2
- 35.69 deg, I 57, hkl 4 0 0
- 40.07 deg, I 24, hkl 4 2 0
- 44.09 deg, I 40, hkl 4 2 2
- 51.37 deg, I 36, hkl 4 4 0
- 57.97 deg, I 26, hkl 6 2 0
- 61.09 deg, I 23, hkl 6 2 2
- 69.97 deg, I 27, hkl 6 4 2



Structure and simulated powder XRD pattern of Tb8Nd3Ho4 (a DFT-relaxed cell (PBE, Alexandria); Cu Kα, 1.54184 Å).
Intensities are scaled so that the largest is 100.

Structure:
Cell: 13.458 12.776 6.768 Å, 90.00 120.12 90.00°
Space group C2/m (No. 12)
Asymmetric unit:
Tb: 0.000 0.143 0.000 (multiplicity 4)
Tb: 0.000 0.248 0.500 (multiplicity 4)
Tb: 0.228 0.000 0.011 (multiplicity 4)
Tb: 0.244 0.000 0.504 (multiplicity 4)
Nd: 0.000 0.000 0.500 (multiplicity 2)
Nd: 0.250 0.250 0.000 (multiplicity 4)
Ho: 0.000 0.500 0.000 (multiplicity 2)
Ho: 0.000 0.500 0.500 (multiplicity 2)
Ho: 0.250 0.250 0.500 (multiplicity 4)

Main lines, low angle first (2θ from 10° to 90°):
- 27.93 deg, I 36, hkl 0 4 0
- 30.56 deg, I 100, hkl 0 0 2
- 30.72 deg, I 49, hkl 4 0 0
- 31.94 deg, I 27, hkl 0 4 1
- 41.88 deg, I 47, hkl 0 4 2
- 42.00 deg, I 23, hkl 4 4 0
- 54.49 deg, I 10, hkl 4 0 2
- 62.36 deg, I 13, hkl 4 4 2
- 63.61 deg, I 12, hkl 0 0 4
- 66.76 deg, I 29, hkl 0 8 2



Structure and simulated powder XRD pattern of Pm2Y5Ge4 (a DFT-relaxed cell (PBE, Alexandria); Cu Kα, 1.54184 Å).
Intensities are scaled so that the largest is 100.

Structure:
Cell: 25.812 3.519 6.961 Å, 90.00 92.83 90.00°
Space group C2/m (No. 12)
Asymmetric unit:
Pm: 0.095 0.000 0.203 (multiplicity 4)
Y: 0.000 0.500 0.500 (multiplicity 2)
Y: 0.130 0.000 0.703 (multiplicity 4)
Y: 0.238 0.000 0.255 (multiplicity 4)
Ge: 0.024 0.000 0.843 (multiplicity 4)
Ge: 0.175 0.500 0.001 (multiplicity 4)

Main lines, low angle first (2θ from 10° to 90°):
- 25.58 deg, I 100, hkl 0 0 2
- 28.56 deg, I 43, hkl 1 1 -1
- 29.98 deg, I 94, hkl 8 0 -1
- 30.53 deg, I 49, hkl 3 1 1
- 30.76 deg, I 50, hkl 5 1 0
- 33.96 deg, I 77, hkl 6 0 2
- 36.62 deg, I 86, hkl 1 1 2
- 37.09 deg, I 33, hkl 8 0 -2
- 43.22 deg, I 44, hkl 9 1 1
- 51.98 deg, I 56, hkl 0 2 0



Structure and simulated powder XRD pattern of La2NiCl (a DFT-relaxed cell (PBE, Alexandria); Cu Kα, 1.54184 Å).
Intensities are scaled so that the largest is 100.

Structure:
Cell: 7.208 4.096 7.928 Å, 90.00 107.89 90.00°
Space group C2/m (No. 12)
Asymmetric unit:
La: 0.233 0.000 0.205 (multiplicity 4)
Ni: 0.000 0.500 0.000 (multiplicity 2)
Cl: 0.000 0.000 0.500 (multiplicity 2)

Main lines, low angle first (2θ from 10° to 90°):
- 11.73 deg, I 37, hkl 0 0 1
- 26.22 deg, I 30, hkl 1 1 -1
- 29.32 deg, I 53, hkl 2 0 -2
- 29.67 deg, I 100, hkl 1 1 1
- 37.61 deg, I 17, hkl 1 1 2
- 40.67 deg, I 45, hkl 1 1 -3
- 43.68 deg, I 38, hkl 3 1 -1
- 44.22 deg, I 18, hkl 0 2 0
- 51.24 deg, I 21, hkl 2 0 3
- 53.95 deg, I 18, hkl 2 2 -2